# 1
The following is a calculated PXRD pattern of Ba2SrH8Ru. It was derived from the GGA-PBE geometry in Alexandria, using CuKα.

Structural model:
Unit cell a=5.5305 b=5.5305 c=6.7728 alpha=90.00 beta=90.00 gamma=120.00
Sites, in units of the cell vectors:
Ba (0.3333, 0.6667, 0.3359)
Ba (0.6667, 0.3333, 0.6641)
Sr (0.0000, 0.0000, 0.0000)
H (0.1440, 0.2880, 0.6531)
H (0.1440, 0.8560, 0.6531)
H (0.2880, 0.1440, 0.3469)
H (0.3333, 0.6667, 0.9584)
H (0.6667, 0.3333, 0.0416)
H (0.7120, 0.8560, 0.6531)
H (0.8560, 0.1440, 0.3469)
H (0.8560, 0.7120, 0.3469)
Ru (0.0000, 0.0000, 0.5000)

Most intense lines, 10° ≤ 2θ ≤ 90°, by angle:
2θ = 13.07°, d 6.773, I 168
2θ = 22.74°, d 3.911, I 466
2θ = 32.38°, d 2.765, I 1000
2θ = 39.93°, d 2.258, I 145
2θ = 46.44°, d 1.955, I 186
2θ = 52.31°, d 1.749, I 173
2θ = 57.75°, d 1.596, I 376
2θ = 67.78°, d 1.383, I 119
2θ = 72.52°, d 1.304, I 88
2θ = 77.13°, d 1.237, I 164

***

# 2
The following is a calculated PXRD pattern of Ba9H14S2. It was derived from the GGA-PBE geometry in Alexandria, using CuKα.

Structural model:
Unit cell a=8.1531 b=8.1531 c=11.2041 alpha=90.00 beta=90.00 gamma=120.00
Sites, in units of the cell vectors:
Ba (0.0000, 0.0000, 0.0000)
Ba (0.0302, 0.3258, 0.3416)
Ba (0.2955, 0.9698, 0.3416)
Ba (0.3258, 0.2955, 0.6584)
Ba (0.3333, 0.6667, 0.9666)
Ba (0.6667, 0.3333, 0.0334)
Ba (0.6742, 0.7045, 0.3416)
Ba (0.7045, 0.0302, 0.6584)
Ba (0.9698, 0.6742, 0.6584)
H (0.0000, 0.0000, 0.2711)
H (0.0000, 0.0000, 0.7289)
H (0.0315, 0.3563, 0.5873)
H (0.0864, 0.7482, 0.8898)
H (0.2518, 0.3382, 0.8898)
H (0.3248, 0.9685, 0.5873)
H (0.3382, 0.0864, 0.1102)
H (0.3563, 0.3248, 0.4127)
H (0.6437, 0.6752, 0.5873)
H (0.6618, 0.9136, 0.8898)
H (0.6752, 0.0315, 0.4127)
H (0.7482, 0.6618, 0.1102)
H (0.9136, 0.2518, 0.1102)
H (0.9685, 0.6437, 0.4127)
S (0.3333, 0.6667, 0.2222)
S (0.6667, 0.3333, 0.7778)

Most intense lines, 10° ≤ 2θ ≤ 90°, by angle:
2θ = 23.22°, d 3.831, I 1000
2θ = 23.83°, d 3.735, I 277
2θ = 27.05°, d 3.297, I 602
2θ = 38.24°, d 2.354, I 270
2θ = 39.02°, d 2.309, I 239
2θ = 45.22°, d 2.005, I 138
2θ = 45.56°, d 1.991, I 238
2θ = 46.23°, d 1.964, I 133
2θ = 47.47°, d 1.915, I 98
2θ = 60.67°, d 1.526, I 97

***

# 3
The following is a calculated PXRD pattern of Ba5H4S2. It was derived from the GGA-PBE geometry in Alexandria, using CuKα.

Structural model:
Unit cell a=18.1507 b=18.1507 c=18.1507 alpha=14.34 beta=14.34 gamma=14.34
Sites, in units of the cell vectors:
Ba (0.0000, 0.0000, 0.0000)
Ba (0.1372, 0.1372, 0.1372)
Ba (0.2643, 0.2643, 0.2643)
Ba (0.7357, 0.7357, 0.7357)
Ba (0.8628, 0.8628, 0.8628)
H (0.0878, 0.0878, 0.0878)
H (0.1896, 0.1896, 0.1896)
H (0.8104, 0.8104, 0.8104)
H (0.9122, 0.9122, 0.9122)
S (0.3680, 0.3680, 0.3680)
S (0.6320, 0.6320, 0.6320)

Most intense lines, 10° ≤ 2θ ≤ 90°, by angle:
2θ = 22.73°, d 3.913, I 218
2θ = 24.78°, d 3.592, I 337
2θ = 25.48°, d 3.495, I 666
2θ = 26.29°, d 3.390, I 1000
2θ = 32.59°, d 2.747, I 159
2θ = 39.80°, d 2.265, I 475
2θ = 43.56°, d 2.078, I 212
2θ = 47.45°, d 1.916, I 352
2θ = 48.33°, d 1.883, I 184
2θ = 64.33°, d 1.448, I 157

***

# 4
The following is a calculated PXRD pattern of BaSrSbH2. It was derived from the GGA-PBE geometry in Alexandria, using CuKα.

Structural model:
Unit cell a=7.2035 b=7.2035 c=7.6438 alpha=90.00 beta=90.00 gamma=138.73
Sites, in units of the cell vectors:
Ba (0.2257, 0.7743, 0.7500)
Ba (0.7743, 0.2257, 0.2500)
Sr (0.5000, 0.5000, 0.0000)
Sr (0.5000, 0.5000, 0.5000)
Sb (0.0546, 0.9454, 0.2500)
Sb (0.9454, 0.0546, 0.7500)
H (0.3209, 0.6791, 0.0610)
H (0.3209, 0.6791, 0.4390)
H (0.6791, 0.3209, 0.5610)
H (0.6791, 0.3209, 0.9390)

Most intense lines, 10° ≤ 2θ ≤ 90°, by angle:
2θ = 22.03°, d 4.035, I 224
2θ = 23.27°, d 3.822, I 166
2θ = 26.45°, d 3.370, I 283
2θ = 28.98°, d 3.081, I 1000
2θ = 30.01°, d 2.978, I 670
2θ = 35.36°, d 2.539, I 255
2θ = 44.60°, d 2.032, I 302
2θ = 44.87°, d 2.020, I 178
2θ = 46.32°, d 1.960, I 152
2θ = 67.29°, d 1.391, I 151

***

# 5
The following is a calculated PXRD pattern of Ba4HSe3. It was derived from the GGA-PBE geometry in Alexandria, using CuKα.

Structural model:
Unit cell a=15.2119 b=15.2119 c=15.2119 alpha=17.55 beta=17.55 gamma=17.55
Sites, in units of the cell vectors:
Ba (0.1238, 0.1238, 0.1238)
Ba (0.3721, 0.3721, 0.3721)
Ba (0.6279, 0.6279, 0.6279)
Ba (0.8762, 0.8762, 0.8762)
H (0.0000, 0.0000, 0.0000)
Se (0.2542, 0.2542, 0.2542)
Se (0.5000, 0.5000, 0.5000)
Se (0.7458, 0.7458, 0.7458)

Most intense lines, 10° ≤ 2θ ≤ 90°, by angle:
2θ = 23.51°, d 3.785, I 200
2θ = 27.28°, d 3.269, I 1000
2θ = 38.80°, d 2.321, I 393
2θ = 39.14°, d 2.302, I 357
2θ = 48.08°, d 1.892, I 207
2θ = 56.29°, d 1.634, I 122
2θ = 63.43°, d 1.467, I 180
2θ = 63.89°, d 1.457, I 153
2θ = 70.47°, d 1.336, I 126
2θ = 89.66°, d 1.094, I 74

***

# 6
The following is a calculated PXRD pattern of BaH4Se. It was derived from the GGA-PBE geometry in Alexandria, using CuKα.

Structural model:
Unit cell a=4.9993 b=5.0102 c=5.0251 alpha=111.15 beta=98.80 gamma=111.33
Sites, in units of the cell vectors:
Ba (0.0000, 0.0000, 0.0000)
H (0.1694, 0.4837, 0.7015)
H (0.2986, 0.5128, 0.8305)
H (0.3684, 0.9149, 0.5336)
H (0.4776, 0.0863, 0.6528)
Se (0.7301, 0.5014, 0.2736)

Most intense lines, 10° ≤ 2θ ≤ 90°, by angle:
2θ = 20.05°, d 4.429, I 456
2θ = 20.18°, d 4.400, I 460
2θ = 21.71°, d 4.093, I 1000
2θ = 31.79°, d 2.815, I 346
2θ = 31.94°, d 2.802, I 342
2θ = 33.06°, d 2.710, I 316
2θ = 36.33°, d 2.473, I 237
2θ = 36.50°, d 2.462, I 236
2θ = 37.03°, d 2.428, I 232
2θ = 38.57°, d 2.334, I 176